Starting from a crystal structure in Alexandria, relaxed with GGA+U, the powder diffractogram of Li5Cu2Ni5O12 was simulated for copper Kα.

Top 6 peaks for 2θ = 10–80°, low angle first:
d (Å)  Rel. int.
4.780  442
4.322  354
3.867  423
2.398  346
2.162  626
2.041  1000

```
data_Li5Cu2Ni5O12
_symmetry_space_group_name_H-M 'C 1 2 1'
_symmetry_Int_Tables_number 5
_symmetry_space_group_name_Hall 'C 2y'
_cell_length_a 5.2353
_cell_length_b 8.6430
_cell_length_c 9.6467
_cell_angle_alpha 90.00
_cell_angle_beta 97.67
_cell_angle_gamma 90.00
loop_
_atom_site_label
_atom_site_fract_x
_atom_site_fract_y
_atom_site_fract_z
Li1 0.0000 0.0000 0.0000
Li2 0.2467 0.0182 0.7523
Li3 0.2472 0.3312 0.7553
Cu1 0.0000 0.1801 0.5000
Cu2 0.0000 0.6596 0.0000
Ni1 0.0000 0.3310 0.0000
Ni2 0.0000 0.5142 0.5000
Ni3 0.0000 0.8418 0.5000
Ni4 0.2464 0.6746 0.7522
O1 0.0675 0.1773 0.8684
O2 0.0800 0.6773 0.3606
O3 0.0934 0.5007 0.8849
O4 0.1164 0.8126 0.8854
O5 0.1197 0.0286 0.3834
O6 0.1229 0.3328 0.3884
```